The following is a simulated powder XRD pattern of CaAl2Si4Cl3O12. It was derived from DFT lattice parameters and positions (GGA-PBE), using Cu Kα, 1.54184 Å.
No peak broadening, texture or thermal motion is included.

```
CaAl2Si4Cl3O12
1.0
6.295 -7.052 0.000
6.295 7.052 0.000
-2.195 0.000 9.398
Ca Al Si Cl O
2 4 8 6 24
Direct
0.000 0.000 0.000
0.589 0.589 0.561
0.144 0.708 0.879
0.703 0.932 0.110
0.708 0.144 0.879
0.932 0.703 0.110
0.135 0.920 0.657
0.468 0.910 0.648
0.477 0.698 0.862
0.682 0.905 0.434
0.698 0.477 0.862
0.905 0.682 0.434
0.910 0.468 0.648
0.920 0.135 0.657
0.078 0.333 0.290
0.272 0.541 0.237
0.284 0.284 0.479
0.333 0.078 0.290
0.360 0.360 0.054
0.541 0.272 0.237
0.034 0.795 0.536
0.036 0.567 0.758
0.075 0.075 0.650
0.088 0.754 0.041
0.125 0.879 0.814
0.298 0.933 0.620
0.315 0.661 0.883
0.479 0.750 0.700
0.530 0.876 0.497
0.548 0.548 0.819
0.567 0.036 0.758
0.574 0.814 0.985
0.650 0.935 0.276
0.661 0.315 0.883
0.747 0.747 0.451
0.750 0.479 0.700
0.754 0.088 0.041
0.795 0.034 0.536
0.814 0.574 0.985
0.872 0.872 0.121
0.876 0.530 0.497
0.879 0.125 0.814
0.933 0.298 0.620
0.935 0.650 0.276
```

Main lines, by intensity (2θ from 15° to 90°):
2θ 19.00, d 4.671, intensity 100; 2θ 29.69, d 3.009, intensity 27; 2θ 19.67, d 4.514, intensity 18; 2θ 28.92, d 3.087, intensity 18; 2θ 24.58, d 3.622, intensity 16; 2θ 22.58, d 3.939, intensity 14; 2θ 20.23, d 4.390, intensity 14; 2θ 22.75, d 3.908, intensity 13; 2θ 50.40, d 1.811, intensity 12; 2θ 32.06, d 2.792, intensity 11